No. 1
Diffraction record for Na2Zn3S4. The PXRD pattern is calculated, not measured: it uses a cell relaxed with PBE and Cu Kα, 1.54184 Å.

Structural model:
abc: 5.810 10.178 12.918
angles: 90.00 90.00 90.00
Space group Ibam (No. 72)
Asymmetric unit:
Na  0.240  0.126  0.000 (multiplicity 8)
Zn  0.000  0.217  0.250 (multiplicity 8)
Zn  0.000  0.500  0.250 (multiplicity 4)
S  0.227  0.368  0.139 (multiplicity 16)

The 10 most intense peaks (10° ≤ 2θ ≤ 80°), by angle:
2theta  I (rel.)  (hkl)
13.71  100.0  0 0 2
30.51  16.3  1 3 0
31.26  41.5  1 2 3
33.59  28.4  1 3 2
33.83  36.4  2 0 2
38.01  17.4  0 4 2
41.62  20.2  1 3 4
41.82  27.2  2 0 4
47.50  26.4  2 4 0
52.93  17.4  2 0 6


No. 2
Diffraction record for BaS2O4. The PXRD pattern is calculated, not measured: it uses a cell relaxed with PBE and Cu Kα, 1.54184 Å.

Structural model:
abc: 18.248 7.600 7.678
angles: 90.00 90.00 90.00
Space group Pbcn (No. 60)
Asymmetric unit:
Ba  0.146  0.204  0.012 (multiplicity 8)
S  0.048  0.354  0.586 (multiplicity 8)
S  0.156  0.276  0.515 (multiplicity 8)
O  0.004  0.224  0.008 (multiplicity 8)
O  0.151  0.145  0.372 (multiplicity 8)
O  0.195  0.194  0.667 (multiplicity 8)
O  0.196  0.439  0.461 (multiplicity 8)

The 10 most intense peaks (10° ≤ 2θ ≤ 80°), by angle:
2theta  I (rel.)  (hkl)
19.09  47.0  2 1 1
19.46  48.0  4 0 0
23.17  100.0  0 0 2
23.41  70.4  0 2 0
26.63  34.3  1 2 1
29.37  35.3  6 0 0
33.17  38.2  0 2 2
33.83  38.4  6 1 1
38.40  31.7  2 1 3
38.73  38.4  4 2 2


No. 3
Diffraction record for ScCuSi. The PXRD pattern is calculated, not measured: it uses a cell relaxed with PBE and Cu Kα, 1.54184 Å.

Structural model:
abc: 6.557 3.976 7.237
angles: 90.00 90.00 90.00
Space group Pnma (No. 62)
Asymmetric unit:
Sc  0.009  0.250  0.195 (multiplicity 4)
Cu  0.157  0.250  0.566 (multiplicity 4)
Si  0.229  0.750  0.391 (multiplicity 4)

The 10 most intense peaks (10° ≤ 2θ ≤ 80°), by angle:
2theta  I (rel.)  (hkl)
18.26  31.4  1 0 1
29.02  36.8  1 1 1
35.49  45.5  2 1 0
36.26  83.2  1 1 2
37.00  35.9  2 0 2
37.67  100.0  2 1 1
43.24  50.1  3 0 1
43.90  83.0  0 1 3
45.64  57.8  0 2 0
71.77  35.0  3 1 4


No. 4
Diffraction record for Ni11As8. The PXRD pattern is calculated, not measured: it uses a cell relaxed with PBE and Cu Kα, 1.54184 Å.

Structural model:
abc: 9.773 9.776 11.216
angles: 90.00 102.44 90.00
Space group C2/c (No. 15)
Asymmetric unit:
Ni  0.000  0.190  0.250 (multiplicity 4)
Ni  0.056  0.404  0.592 (multiplicity 8)
Ni  0.112  0.033  0.093 (multiplicity 8)
Ni  0.132  0.217  0.908 (multiplicity 8)
Ni  0.194  0.339  0.407 (multiplicity 8)
Ni  0.240  0.438  0.213 (multiplicity 8)
As  0.000  0.067  0.750 (multiplicity 4)
As  0.000  0.443  0.250 (multiplicity 4)
As  0.061  0.188  0.492 (multiplicity 8)
As  0.187  0.438  0.999 (multiplicity 8)
As  0.245  0.311  0.751 (multiplicity 8)

The 10 most intense peaks (10° ≤ 2θ ≤ 80°), by angle:
2theta  I (rel.)  (hkl)
33.01  100.0  2 2 -3
37.72  24.9  0 4 1
44.60  89.9  4 0 2
44.68  29.9  4 0 -4
45.86  20.7  1 3 4
47.47  26.1  5 1 -1
47.87  22.2  1 5 -1
49.28  19.0  3 1 4
52.99  70.8  4 4 -1
53.08  24.3  2 2 5


No. 5
Diffraction record for BaCaZrSnO6. The PXRD pattern is calculated, not measured: it uses a cell relaxed with PBE and Cu Kα, 1.54184 Å.

Structural model:
abc: 8.337 8.337 8.337
angles: 90.00 90.00 90.00
Space group F-43m (No. 216)
Asymmetric unit:
Ba  0.000  0.000  0.000 (multiplicity 4)
Ca  0.000  0.000  0.500 (multiplicity 4)
Zr  0.250  0.250  0.750 (multiplicity 4)
Sn  0.250  0.250  0.250 (multiplicity 4)
O  0.002  0.250  0.250 (multiplicity 24)

The 10 most intense peaks (10° ≤ 2θ ≤ 80°), by angle:
2theta  I (rel.)  (hkl)
18.43  14.9  1 1 1
21.32  5.5  2 0 0
30.32  100.0  2 2 0
35.72  9.0  3 1 1
43.42  34.2  4 0 0
47.54  4.1  3 3 1
53.88  40.3  4 2 2
63.08  21.0  4 4 0
71.59  17.7  6 2 0
79.69  7.0  4 4 4